Calculated XRD peak list of NbSnRu for Cu Kα, from DFT lattice parameters and positions (GGA-PBE).
Kinematic intensities with the Lorentz-polarization factor, no thermal factor.

Peak list (6 most intense, 2θ = 10–90°, low angle first)
(1 1 1), d 3.628, 24.54 deg, I 36; (2 2 0), d 2.222, 40.61 deg, I 100; (3 1 1), d 1.895, 48.02 deg, I 18; (4 0 0), d 1.571, 58.78 deg, I 17; (4 2 2), d 1.283, 73.88 deg, I 34; (4 4 0), d 1.111, 87.89 deg, I 11

Atomic structure:
```
data_NbSnRu
_chemical_formula_sum 'Nb4 Sn4 Ru4'
_cell_length_a 6.284
_cell_length_b 6.284
_cell_length_c 6.284
_cell_angle_alpha 90.00
_cell_angle_beta 90.00
_cell_angle_gamma 90.00
_symmetry_space_group_name_H-M 'F -4 3 m'
_symmetry_Int_Tables_number 216
_symmetry_space_group_name_Hall 'F -4 2 3'
loop_
_atom_site_label
_atom_site_type_symbol
_atom_site_fract_x
_atom_site_fract_y
_atom_site_fract_z
Nb1 Nb 0.000 0.000 0.000
Sn1 Sn 0.250 0.250 0.250
Ru1 Ru 0.000 0.000 0.500
```

=====

Calculated XRD peak list of Rb3Ca for Cu Kα, from DFT lattice parameters and positions (GGA-PBE).
Kinematic intensities with the Lorentz-polarization factor, no thermal factor.

Peak list (6 most intense, 2θ = 10–90°, low angle first)
(2 0 0), d 4.092, 21.72 deg, I 23; (0 0 2), d 3.836, 23.19 deg, I 26; (2 0 1), d 3.610, 24.66 deg, I 100; (2 2 0), d 2.362, 38.09 deg, I 20; (2 0 3), d 2.169, 41.65 deg, I 24; (2 2 2), d 2.012, 45.07 deg, I 25

Atomic structure:
```
data_Rb3Ca
_chemical_formula_sum 'Rb6 Ca2'
_cell_length_a 9.4494
_cell_length_b 9.4494
_cell_length_c 7.6723
_cell_angle_alpha 90.00
_cell_angle_beta 90.00
_cell_angle_gamma 120.00
_symmetry_space_group_name_H-M 'P 63/m m c'
_symmetry_Int_Tables_number 194
_symmetry_space_group_name_Hall '-P 6c 2c'
loop_
_atom_site_label
_atom_site_type_symbol
_atom_site_fract_x
_atom_site_fract_y
_atom_site_fract_z
Rb1 Rb 0.1718 0.3437 0.2500
Ca1 Ca 0.3333 0.6667 0.7500
```

=====

Calculated XRD peak list of EuBrO2 for Cu Kα, from DFT lattice parameters and positions (GGA-PBE).
Kinematic intensities with the Lorentz-polarization factor, no thermal factor.

Peak list (6 most intense, 2θ = 10–90°, low angle first)
(0 0 1), d 6.421, 13.79 deg, I 39; (1 1 -1), d 3.096, 28.84 deg, I 100; (2 0 0), d 2.870, 31.16 deg, I 35; (2 0 -2), d 2.779, 32.21 deg, I 41; (1 1 1), d 2.592, 34.60 deg, I 58; (0 1 2), d 2.433, 36.95 deg, I 40

Atomic structure:
```
data_EuBrO2
_chemical_formula_sum 'Eu2 Br2 O4'
_cell_length_a 6.294
_cell_length_b 3.728
_cell_length_c 7.040
_cell_angle_alpha 90.00
_cell_angle_beta 114.19
_cell_angle_gamma 90.00
_symmetry_space_group_name_H-M 'P 1 21/m 1'
_symmetry_Int_Tables_number 11
loop_
_symmetry_equiv_pos_as_xyz
'x,y,z'
'-x,-y,-z'
'-x,y+1/2,-z'
'x,-y+1/2,z'
loop_
_atom_site_label
_atom_site_type_symbol
_atom_site_fract_x
_atom_site_fract_y
_atom_site_fract_z
Eu1 Eu 0.202 0.250 0.411
Br1 Br 0.253 0.750 0.041
O1 O 0.042 0.250 0.654
O2 O 0.413 0.750 0.578
```

=====

Calculated XRD peak list of Li3TaF6 for Cu Kα, from DFT lattice parameters and positions (GGA-PBE).
Kinematic intensities with the Lorentz-polarization factor, no thermal factor.

Peak list (6 most intense, 2θ = 10–90°, low angle first)
(0 1 0), d 5.091, 17.42 deg, I 47; (0 0 1), d 5.033, 17.62 deg, I 100; (1 0 0), d 4.464, 19.89 deg, I 54; (1 0 -1), d 4.371, 20.32 deg, I 18; (1 -1 0), d 3.760, 23.66 deg, I 70; (2 -2 0), d 1.882, 48.36 deg, I 17

Atomic structure:
```
data_Li3TaF6
_chemical_formula_sum 'Li3 Ta1 F6'
_cell_length_a 4.914
_cell_length_b 5.844
_cell_length_c 6.237
_cell_angle_alpha 117.11
_cell_angle_beta 111.85
_cell_angle_gamma 90.02
_symmetry_space_group_name_H-M 'P -1'
_symmetry_Int_Tables_number 2
loop_
_symmetry_equiv_pos_as_xyz
'x,y,z'
'-x,-y,-z'
loop_
_atom_site_label
_atom_site_type_symbol
_atom_site_fract_x
_atom_site_fract_y
_atom_site_fract_z
Li1 Li 0.000 0.000 0.000
Li2 Li 0.000 0.500 0.000
Li3 Li 0.500 0.000 0.500
Ta1 Ta 0.000 0.500 0.500
F1 F 0.150 0.729 0.376
F2 F 0.205 0.715 0.932
F3 F 0.240 0.214 0.377
```

=====

Calculated XRD peak list of MgTe2Mo2WSe2S2 for Cu Kα, from DFT lattice parameters and positions (GGA-PBE).
Kinematic intensities with the Lorentz-polarization factor, no thermal factor.

Peak list (6 most intense, 2θ = 10–90°, low angle first)
(0 0 5), d 7.289, 12.14 deg, I 46; (0 1 6), d 2.620, 34.22 deg, I 56; (1 0 7), d 2.536, 35.39 deg, I 69; (0 1 10), d 2.271, 39.68 deg, I 60; (1 0 11), d 2.184, 41.34 deg, I 100; (1 1 0), d 1.676, 54.77 deg, I 55

Atomic structure:
```
data_MgTe2Mo2WSe2S2
_chemical_formula_sum 'Mg1 Te2 Mo2 W1 Se2 S2'
_cell_length_a 3.3534
_cell_length_b 3.3534
_cell_length_c 36.4454
_cell_angle_alpha 90.00
_cell_angle_beta 90.00
_cell_angle_gamma 120.00
_symmetry_space_group_name_H-M 'P 3 m 1'
_symmetry_Int_Tables_number 156
loop_
_symmetry_equiv_pos_as_xyz
'x,y,z'
'-y,x-y,z'
'-x+y,-x,z'
'-y,-x,z'
'-x+y,y,z'
'x,x-y,z'
loop_
_atom_site_label
_atom_site_type_symbol
_atom_site_fract_x
_atom_site_fract_y
_atom_site_fract_z
Mg1 Mg 0.0000 0.0000 0.0000
Te1 Te 0.6667 0.3333 0.3054
Te2 Te 0.6667 0.3333 0.4100
Mo1 Mo 0.3333 0.6667 0.8890
Mo2 Mo 0.6667 0.3333 0.1308
W1 W 0.3333 0.6667 0.3577
Se1 Se 0.3333 0.6667 0.0848
Se2 Se 0.3333 0.6667 0.1764
S1 S 0.6667 0.3333 0.8478
S2 S 0.6667 0.3333 0.9314
```